For LuAlO3, DFT lattice parameters and positions (PBE) gives the simulated powder diffractogram in this record (Cu Kα (weighted mean of Kα1 and Kα2)).
Peak positions follow from Bragg's law for the DFT cell and can differ from measured ones.

Cell and atoms:
```
data_LuAlO3
_cell_length_a 3.3896
_cell_length_b 3.3896
_cell_length_c 11.4693
_cell_angle_alpha 90.00
_cell_angle_beta 90.00
_cell_angle_gamma 120.00
_symmetry_space_group_name_H-M 'P 63/m m c'
_symmetry_Int_Tables_number 194
_symmetry_space_group_name_Hall '-P 6c 2c'
loop_
_atom_site_label
_atom_site_fract_x
_atom_site_fract_y
_atom_site_fract_z
Lu1 0.0000 0.0000 0.0000
Al1 0.3333 0.6667 0.2500
O1 0.0000 0.0000 0.2500
O2 0.3333 0.6667 0.0899
```

Main lines, in order of falling intensity (10° ≤ 2θ ≤ 90°):
| h k l | two_theta | d (Å) | Rel. int. |
| --- | --- | --- | --- |
| 1 0 2 | 34.32 | 2.613 | 100 |
| 0 0 2 | 15.45 | 5.735 | 86 |
| 1 0 0 | 30.45 | 2.935 | 66 |
| 1 0 4 | 44.15 | 2.051 | 65 |
| 0 0 4 | 31.19 | 2.867 | 31 |
| 1 1 0 | 54.11 | 1.695 | 30 |
| 1 0 6 | 57.54 | 1.602 | 30 |
| 1 1 4 | 63.79 | 1.459 | 25 |
| 1 1 2 | 56.63 | 1.625 | 19 |
| 2 0 2 | 65.66 | 1.422 | 17 |